Entry 1:
This entry pairs a crystal structure of Tm3Tl2Se6 with its computed powder X-ray diffraction pattern. Radiation: λ = 1.5418 Å (Cu Kα). Structure: a DFT-relaxed cell (PBE, Alexandria).
Kinematic intensities with the Lorentz-polarization factor, no thermal factor.

Most intense lines, 2θ from 10° to 90°, low angle first:
h k l, 2theta, I/Imax
0 0 1, 11.7, 10
2 0 0, 26.3, 13
1 3 1, 29.6, 100
2 0 2, 40.6, 38
0 6 0, 44.1, 35
4 0 0, 54.0, 19
2 6 2, 61.5, 11
3 3 3, 67.2, 13
4 6 0, 72.2, 16
5 3 1, 78.8, 11

Crystal structure
Unit cell a=7.113 b=12.311 c=7.952 alpha=90.00 beta=107.33 gamma=90.00
Space group C2/m (No. 12)
One atom of each set of equivalent atoms:
Tm 0.000 0.000 0.000 [2 per cell]
Tm 0.000 0.333 0.000 [4 per cell]
Tl 0.000 0.167 0.500 [4 per cell]
Se 0.234 0.168 0.206 [8 per cell]
Se 0.237 0.500 0.204 [4 per cell]

Entry 2:
This entry pairs a crystal structure of Tm3TlSe2 with its computed powder X-ray diffraction pattern. Radiation: λ = 1.5418 Å (Cu Kα). Structure: a DFT-relaxed cell (PBE, Alexandria).
Kinematic intensities with the Lorentz-polarization factor, no thermal factor.

Most intense lines, 2θ from 10° to 90°, low angle first:
h k l, 2theta, I/Imax
0 2 0, 30.4, 52
1 0 3, 30.7, 100
0 0 6, 42.3, 20
1 2 3, 43.7, 76
2 0 0, 45.6, 17
0 2 6, 52.9, 21
2 2 0, 55.7, 19
1 4 3, 71.9, 18
2 2 6, 72.4, 17
1 2 9, 78.3, 13

Crystal structure
Unit cell a=3.981 b=5.888 c=12.829 alpha=90.00 beta=90.00 gamma=90.00
Space group Immm (No. 71)
One atom of each set of equivalent atoms:
Tm 0.000 0.000 0.000 [2 per cell]
Tm 0.000 0.000 0.323 [4 per cell]
Tl 0.000 0.500 0.000 [2 per cell]
Se 0.000 0.500 0.335 [4 per cell]

Entry 3:
This entry pairs a crystal structure of UTl2Se4 with its computed powder X-ray diffraction pattern. Radiation: λ = 1.5418 Å (Cu Kα). Structure: a DFT-relaxed cell (PBE, Alexandria).
Kinematic intensities with the Lorentz-polarization factor, no thermal factor.

Most intense lines, 2θ from 10° to 90°, low angle first:
h k l, 2theta, I/Imax
1 1 0, 12.2, 66
2 1 0, 21.2, 25
1 3 0, 23.6, 50
1 1 1, 24.4, 54
2 0 1, 29.1, 25
2 1 1, 30.0, 100
1 4 0, 30.4, 42
0 0 2, 42.7, 28
4 2 0, 43.1, 71
1 5 1, 43.3, 48

Crystal structure
Unit cell a=8.900 b=12.465 c=4.232 alpha=90.00 beta=90.00 gamma=90.00
Space group Pbam (No. 55)
One atom of each set of equivalent atoms:
U 0.000 0.000 0.000 [2 per cell]
Tl 0.123 0.309 0.500 [4 per cell]
Se 0.104 0.803 0.000 [4 per cell]
Se 0.188 0.050 0.500 [4 per cell]

Entry 4:
This entry pairs a crystal structure of U2TlSe4 with its computed powder X-ray diffraction pattern. Radiation: λ = 1.5418 Å (Cu Kα). Structure: a DFT-relaxed cell (PBE, Alexandria).
Kinematic intensities with the Lorentz-polarization factor, no thermal factor.

Most intense lines, 2θ from 10° to 90°, low angle first:
h k l, 2theta, I/Imax
1 0 1, 12.4, 23
2 0 0, 20.3, 28
1 0 3, 23.9, 100
0 0 4, 28.9, 38
3 2 1, 37.8, 63
2 2 4, 41.3, 84
4 1 3, 48.2, 18
5 0 3, 57.2, 22
5 0 5, 65.3, 14
6 2 4, 75.2, 16

Crystal structure
Unit cell a=8.756 b=8.756 c=12.348 alpha=90.00 beta=90.00 gamma=90.00
Space group I4_1/amd (No. 141, origin choice 2)
One atom of each set of equivalent atoms:
U 0.000 0.000 0.000 [8 per cell]
Tl 0.000 0.250 0.375 [4 per cell]
Se 0.000 0.035 0.767 [16 per cell]

Entry 5:
This entry pairs a crystal structure of U4TlSe8 with its computed powder X-ray diffraction pattern. Radiation: λ = 1.5418 Å (Cu Kα). Structure: a DFT-relaxed cell (PBE, Alexandria).
Kinematic intensities with the Lorentz-polarization factor, no thermal factor.

Most intense lines, 2θ from 10° to 90°, low angle first:
h k l, 2theta, I/Imax
0 0 1, 11.0, 100
2 2 -1, 24.9, 33
4 0 -1, 27.2, 20
2 2 -2, 27.3, 39
4 0 0, 33.4, 42
2 2 -3, 33.6, 51
2 2 2, 42.0, 17
0 4 0, 43.8, 38
6 2 -2, 45.2, 14
4 4 0, 56.1, 14

Crystal structure
Unit cell a=14.317 b=8.271 c=10.721 alpha=90.00 beta=131.33 gamma=90.00
Space group C2/m (No. 12)
One atom of each set of equivalent atoms:
U 0.000 0.248 0.000 [4 per cell]
U 0.244 0.000 0.989 [4 per cell]
Tl 0.000 0.500 0.500 [2 per cell]
Se 0.008 0.500 0.188 [4 per cell]
Se 0.016 0.000 0.196 [4 per cell]
Se 0.237 0.256 0.806 [8 per cell]

Entry 6:
This entry pairs a crystal structure of UTlSe with its computed powder X-ray diffraction pattern. Radiation: λ = 1.5418 Å (Cu Kα). Structure: a DFT-relaxed cell (PBE, Alexandria).
Kinematic intensities with the Lorentz-polarization factor, no thermal factor.

Most intense lines, 2θ from 10° to 90°, low angle first:
h k l, 2theta, I/Imax
0 2 0, 10.1, 23
0 4 1, 27.6, 10
0 6 0, 30.5, 19
1 3 1, 33.4, 100
0 6 1, 36.0, 11
0 0 2, 37.8, 22
2 0 0, 46.6, 12
0 6 2, 49.3, 11
2 0 2, 61.5, 11
1 3 3, 65.4, 16

Crystal structure
Unit cell a=3.898 b=17.565 c=4.766 alpha=90.00 beta=90.00 gamma=90.00
Space group Cmcm (No. 63)
One atom of each set of equivalent atoms:
U 0.000 0.240 0.250 [4 per cell]
Tl 0.000 0.429 0.750 [4 per cell]
Se 0.000 0.135 0.750 [4 per cell]